Structure and theoretical powder diffraction line list of Fe3O2F2 (a DFT-relaxed cell (GGA+U, the Materials Project); copper Kα).

Largest 10 diffraction maxima, sorted by position, 2θ = 15–90°:
2θ/deg  I/Imax
29.8  61
31.2  49
32.8  100
35.0  29
37.6  28
39.7  46
41.1  31
42.1  30
52.5  37
59.2  45

Cell: 6.3991 6.4448 8.5949 Å, 90.00 90.09 90.00°
Fractional positions:
1 Fe 0.0000 0.0000 0.0000
2 Fe 0.0001 0.2479 0.5980
3 Fe 0.0000 0.5000 0.9999
4 Fe 0.0001 0.7521 0.5980
5 Fe 0.2502 0.2475 0.2786
6 Fe 0.2502 0.7525 0.2786
7 Fe 0.4988 0.2544 0.9596
8 Fe 0.4988 0.7456 0.9596
9 Fe 0.5003 0.0000 0.5583
10 Fe 0.5002 0.5000 0.5485
11 Fe 0.7500 0.2474 0.2788
12 Fe 0.7500 0.7526 0.2788
13 O 0.2178 0.2478 0.0497
14 O 0.2178 0.7522 0.0497
15 O 0.2821 0.2512 0.5091
16 O 0.2821 0.7488 0.5091
17 O 0.7163 0.2558 0.5088
18 O 0.7163 0.7442 0.5088
19 O 0.7838 0.2457 0.0501
20 O 0.7838 0.7543 0.0501
21 F 0.0002 0.0000 0.2918
22 F 0.0000 0.5000 0.2907
23 F 0.0058 0.5000 0.7606
24 F 0.4933 0.0000 0.7973
25 F 0.5001 0.0000 0.2710
26 F 0.4999 0.5000 0.2652
27 F 0.5060 0.5000 0.8008
28 F 0.9944 0.0000 0.7599

---

Structure and theoretical powder diffraction line list of Mg2AgWO6 (a DFT-relaxed cell (GGA+U, the Materials Project); copper Kα).

Largest 10 diffraction maxima, sorted by position, 2θ = 15–90°:
2θ/deg  I/Imax
20.1  14
21.9  58
23.3  100
30.8  39
31.2  35
32.0  32
33.2  30
33.4  27
34.3  24
44.6  14

Cell: 5.2256 5.3758 5.6309 Å, 63.38 89.73 61.31°
Fractional positions:
1 Mg 0.0000 0.0000 0.0000
2 Mg 0.4927 0.0050 0.4881
3 Ag 0.2158 0.5667 0.6333
4 W 0.7013 0.5950 0.0965
5 O 0.0725 0.4719 0.3009
6 O 0.3082 0.8072 0.8122
7 O 0.4293 0.7824 0.2879
8 O 0.6509 0.0172 0.8291
9 O 0.7418 0.1769 0.2604
10 O 0.8844 0.4748 0.8201

---

Structure and theoretical powder diffraction line list of Na2FeO3 (a DFT-relaxed cell (GGA+U, the Materials Project); copper Kα).

Largest 10 diffraction maxima, sorted by position, 2θ = 15–90°:
2θ/deg  I/Imax
16.4  61
19.9  16
33.1  18
35.2  27
40.0  51
40.4  100
56.6  14
56.7  14
57.1  15
59.6  25

Cell: 5.3647 5.3785 5.7271 Å, 99.43 99.27 119.86°
Fractional positions:
1 Na 0.0000 0.0000 0.0000
2 Na 0.1557 0.8408 0.5012
3 Na 0.3134 0.6798 0.0020
4 Na 0.6526 0.3449 0.0021
5 Fe 0.4881 0.5088 0.5015
6 Fe 0.8230 0.1752 0.5013
7 O 0.0979 0.3999 0.2960
8 O 0.2397 0.2955 0.7012
9 O 0.4566 0.1545 0.2977
10 O 0.5962 0.8960 0.7045
11 O 0.6999 0.7572 0.3026
12 O 0.8437 0.5403 0.7069

---

Structure and theoretical powder diffraction line list of Mn4ZnO6 (a DFT-relaxed cell (GGA+U, the Materials Project); copper Kα).

Largest 10 diffraction maxima, sorted by position, 2θ = 15–90°:
2θ/deg  I/Imax
32.7  36
33.7  100
35.1  26
35.2  36
38.9  21
40.1  27
41.4  78
43.5  37
56.8  23
59.3  27

Cell: 5.3318 5.3318 15.5811 Å, 90.00 90.00 146.78°
Fractional positions:
1 Mn 0.0969 0.9031 0.6405
2 Mn 0.0969 0.9031 0.8595
3 Mn 0.3643 0.6357 0.5453
4 Mn 0.3643 0.6357 0.9547
5 Mn 0.6357 0.3643 0.0453
6 Mn 0.6357 0.3643 0.4547
7 Mn 0.9031 0.0969 0.1405
8 Mn 0.9031 0.0969 0.3595
9 Zn 0.1594 0.8406 0.2500
10 Zn 0.8406 0.1594 0.7500
11 O 0.0000 0.0000 0.0000
12 O 0.0000 0.0000 0.5000
13 O 0.2086 0.7914 0.7500
14 O 0.2803 0.7197 0.0716
15 O 0.2803 0.7197 0.4284
16 O 0.4497 0.5503 0.6574
17 O 0.4497 0.5503 0.8426
18 O 0.5503 0.4497 0.1574
19 O 0.5503 0.4497 0.3426
20 O 0.7197 0.2803 0.5716
21 O 0.7197 0.2803 0.9284
22 O 0.7914 0.2086 0.2500

---

Structure and theoretical powder diffraction line list of Li9Mn2Co5O16 (a DFT-relaxed cell (GGA+U, the Materials Project); copper Kα).

Largest 10 diffraction maxima, sorted by position, 2θ = 15–90°:
2θ/deg  I/Imax
18.4  100
35.0  17
36.1  26
37.5  8
42.4  30
43.9  55
47.4  10
57.9  10
62.6  15
62.8  15

Cell: 19.3552 19.3552 5.1874 Å, 91.13 91.13 8.59°
Fractional positions:
1 Li 0.0000 0.0000 0.0000
2 Li 0.1294 0.1294 0.3812
3 Li 0.1879 0.1879 0.0572
4 Li 0.2477 0.2477 0.7288
5 Li 0.3738 0.3738 0.1208
6 Li 0.5004 0.5004 0.4889
7 Li 0.6289 0.6289 0.8783
8 Li 0.7480 0.7480 0.2365
9 Li 0.8737 0.8737 0.6122
10 Mn 0.4375 0.4375 0.8049
11 Mn 0.5639 0.5639 0.1839
12 Co 0.0630 0.0630 0.6850
13 Co 0.3120 0.3120 0.4278
14 Co 0.6879 0.6879 0.5562
15 Co 0.8117 0.8117 0.9281
16 Co 0.9374 0.9374 0.3049
17 O 0.0346 0.0346 0.3176
18 O 0.0927 0.0927 0.0460
19 O 0.1604 0.1604 0.6982
20 O 0.2151 0.2151 0.4135
21 O 0.2829 0.2829 0.0824
22 O 0.3410 0.3410 0.7764
23 O 0.4078 0.4078 0.4404
24 O 0.4677 0.4677 0.1692
25 O 0.5347 0.5347 0.8179
26 O 0.5906 0.5906 0.5513
27 O 0.6606 0.6606 0.2638
28 O 0.7147 0.7147 0.8463
29 O 0.7839 0.7839 0.5805
30 O 0.8409 0.8409 0.2730
31 O 0.9094 0.9094 0.9525
32 O 0.9661 0.9661 0.6586